Entry 1:
Calculated X-ray powder pattern of KBaLiZnF6 for a wavelength of 1.5418 Å, from a cell relaxed with PBE.
Peak positions follow from Bragg's law for the DFT cell and can differ from measured ones.

Structural model:
```
data_KBaLiZnF6
_cell_length_a 24.030
_cell_length_b 24.030
_cell_length_c 24.030
_cell_angle_alpha 13.87
_cell_angle_beta 13.87
_cell_angle_gamma 13.87
_symmetry_space_group_name_H-M 'P 1'
_symmetry_Int_Tables_number 1
_symmetry_space_group_name_Hall 'P 1'
loop_
_atom_site_label
_atom_site_type_symbol
_atom_site_fract_x
_atom_site_fract_y
_atom_site_fract_z
K1 K 0.000 0.000 0.000
K2 K 0.099 0.099 0.099
K3 K 0.198 0.198 0.198
K4 K 0.598 0.598 0.598
K5 K 0.699 0.699 0.699
Ba1 Ba 0.297 0.297 0.297
Ba2 Ba 0.398 0.398 0.398
Ba3 Ba 0.497 0.497 0.497
Ba4 Ba 0.797 0.797 0.797
Ba5 Ba 0.898 0.898 0.898
Li1 Li 0.048 0.048 0.048
Li2 Li 0.147 0.147 0.147
Li3 Li 0.449 0.449 0.449
Li4 Li 0.548 0.548 0.548
Li5 Li 0.948 0.948 0.948
Zn1 Zn 0.248 0.248 0.248
Zn2 Zn 0.349 0.349 0.349
Zn3 Zn 0.648 0.648 0.648
Zn4 Zn 0.748 0.748 0.748
Zn5 Zn 0.849 0.849 0.849
F1 F 0.008 0.492 0.492
F2 F 0.097 0.599 0.599
F3 F 0.098 0.098 0.598
F4 F 0.098 0.598 0.098
F5 F 0.197 0.699 0.699
F6 F 0.202 0.202 0.692
F7 F 0.202 0.692 0.202
F8 F 0.299 0.798 0.798
F9 F 0.303 0.303 0.792
F10 F 0.303 0.792 0.303
F11 F 0.398 0.898 0.898
F12 F 0.399 0.399 0.897
F13 F 0.399 0.897 0.399
F14 F 0.492 0.008 0.492
F15 F 0.492 0.492 0.008
F16 F 0.505 0.994 0.994
F17 F 0.598 0.098 0.098
F18 F 0.599 0.097 0.599
F19 F 0.599 0.599 0.097
F20 F 0.692 0.202 0.202
F21 F 0.699 0.197 0.699
F22 F 0.699 0.699 0.197
F23 F 0.792 0.303 0.303
F24 F 0.798 0.299 0.798
F25 F 0.798 0.798 0.299
F26 F 0.897 0.399 0.399
F27 F 0.898 0.398 0.898
F28 F 0.898 0.898 0.398
F29 F 0.994 0.505 0.994
F30 F 0.994 0.994 0.505
```

Main lines, sorted by position (15° ≤ 2θ ≤ 90°):
| 2theta | Rel. int. |
| --- | --- |
| 17.83 | 27 |
| 20.28 | 12 |
| 30.78 | 100 |
| 37.97 | 29 |
| 44.08 | 54 |
| 54.77 | 29 |
| 63.99 | 15 |
| 64.22 | 16 |

---

Entry 2:
Calculated X-ray powder pattern of KBaLiZnF6 for a wavelength of 1.5418 Å, from a cell relaxed with PBE.
Peak positions follow from Bragg's law for the DFT cell and can differ from measured ones.

Structural model:
```
data_KBaLiZnF6
_cell_length_a 5.807
_cell_length_b 5.807
_cell_length_c 5.807
_cell_angle_alpha 60.00
_cell_angle_beta 60.00
_cell_angle_gamma 60.00
_symmetry_space_group_name_H-M 'P 1'
_symmetry_Int_Tables_number 1
_symmetry_space_group_name_Hall 'P 1'
loop_
_atom_site_label
_atom_site_type_symbol
_atom_site_fract_x
_atom_site_fract_y
_atom_site_fract_z
K1 K 0.000 0.000 0.000
Ba1 Ba 0.500 0.500 0.500
Li1 Li 0.750 0.750 0.750
Zn1 Zn 0.250 0.250 0.250
F1 F 0.000 0.000 0.500
F2 F 0.000 0.500 0.000
F3 F 0.000 0.500 0.500
F4 F 0.500 0.000 0.000
F5 F 0.500 0.000 0.500
F6 F 0.500 0.500 0.000
```

Main lines, sorted by position (15° ≤ 2θ ≤ 90°):
| 2theta | Rel. int. |
| --- | --- |
| 18.72 | 64 |
| 30.80 | 100 |
| 36.28 | 37 |
| 37.95 | 39 |
| 44.11 | 54 |
| 54.76 | 39 |
| 64.15 | 31 |
| 89.26 | 21 |